Calculated powder diffraction line list of GeC for Cu Kα (λ = 1.5418 Å), from a PBE-relaxed structure.
No peak broadening, texture or thermal motion is included.

```
GeC
1.0
3.243 0.000 0.000
-1.622 2.809 0.000
0.000 0.000 5.336
Ge C
2 2
Direct
0.333 0.667 0.000 Ge
0.667 0.333 0.500 Ge
0.333 0.667 0.625 C
0.667 0.333 0.125 C
```

Top 12 peaks for 10 to 80 degrees two-theta, by intensity:
2θ 36.14, I = 100, hkl 1 0 1
2θ 31.86, I = 37, hkl 1 0 0
2θ 33.59, I = 34, hkl 0 0 2
2θ 61.73, I = 29, hkl 1 0 3
2θ 56.77, I = 26, hkl 1 1 0
2θ 67.61, I = 25, hkl 1 1 2
2θ 46.97, I = 19, hkl 1 0 2
2θ 69.17, I = 15, hkl 2 0 1
2θ 76.68, I = 4, hkl 2 0 2
2θ 66.59, I = 4, hkl 2 0 0
2θ 79.55, I = 3, hkl 1 0 4
2θ 70.61, I = 3, hkl 0 0 4